Record 1
# LiNbPO5
Theoretical XRD peak list, copper Kα. Input: a crystal structure in the Materials Project, relaxed with GGA-PBE.
Kinematic intensities with the Lorentz-polarization factor, no thermal factor.

The 6 most intense peaks (10° ≤ 2θ ≤ 90°), by angle:
(0 1 -1), 2θ = 17.52°, I 76
(1 0 1), 2θ = 18.52°, I 61
(-1 1 1), 2θ = 26.24°, I 90
(0 1 3), 2θ = 26.48°, I 95
(1 2 0), 2θ = 26.73°, I 100
(2 1 -1), 2θ = 37.68°, I 50

Structural model:
Cell: 5.437 7.620 10.708 Å, 70.68 75.29 69.10°
Sites, in units of the cell vectors:
Li  0.000  0.000  0.000
Li  0.002  0.495  0.997
Li  0.500  0.501  0.498
Li  0.994  0.006  0.501
Nb  0.000  0.750  0.749
Nb  0.504  0.994  0.998
Nb  0.995  0.507  0.501
Nb  0.999  0.250  0.249
P  0.371  0.066  0.689
P  0.380  0.556  0.186
P  0.622  0.945  0.313
P  0.626  0.435  0.809
O  0.081  0.673  0.584
O  0.167  0.160  0.081
O  0.205  0.960  0.658
O  0.209  0.459  0.152
O  0.299  0.279  0.603
O  0.305  0.043  0.839
O  0.313  0.543  0.338
O  0.323  0.541  0.840
O  0.323  0.769  0.099
O  0.327  0.029  0.345
O  0.673  0.971  0.655
O  0.681  0.222  0.896
O  0.684  0.451  0.154
O  0.687  0.458  0.659
O  0.700  0.720  0.396
O  0.701  0.945  0.157
O  0.797  0.038  0.340
O  0.799  0.530  0.844
O  0.838  0.828  0.915
O  0.921  0.328  0.415

***

Record 2
# LiNbPO5
Theoretical XRD peak list, copper Kα. Input: a crystal structure in the Materials Project, relaxed with GGA-PBE.
Kinematic intensities with the Lorentz-polarization factor, no thermal factor.

The 6 most intense peaks (10° ≤ 2θ ≤ 90°), by angle:
(0 1 1), 2θ = 17.77°, I 73
(0 0 2), 2θ = 23.73°, I 37
(2 0 1), 2θ = 26.23°, I 100
(1 0 2), 2θ = 26.49°, I 21
(0 2 0), 2θ = 26.66°, I 67
(2 2 1), 2θ = 37.74°, I 22

Structural model:
Cell: 7.623 6.688 7.499 Å, 90.00 90.00 90.00°
Sites, in units of the cell vectors:
Li  0.000  0.000  0.000
Li  0.000  0.500  0.000
Li  0.500  0.000  0.500
Li  0.500  0.500  0.500
Nb  0.161  0.250  0.279
Nb  0.339  0.750  0.779
Nb  0.661  0.250  0.221
Nb  0.839  0.750  0.721
P  0.128  0.750  0.367
P  0.372  0.250  0.867
P  0.628  0.750  0.133
P  0.872  0.250  0.633
O  0.041  0.250  0.520
O  0.097  0.750  0.837
O  0.130  0.564  0.244
O  0.130  0.936  0.244
O  0.209  0.250  0.991
O  0.291  0.750  0.491
O  0.370  0.064  0.744
O  0.370  0.436  0.744
O  0.403  0.250  0.337
O  0.459  0.750  0.020
O  0.541  0.250  0.980
O  0.597  0.750  0.663
O  0.630  0.564  0.256
O  0.630  0.936  0.256
O  0.709  0.250  0.509
O  0.791  0.750  0.009
O  0.870  0.064  0.756
O  0.870  0.436  0.756
O  0.903  0.250  0.163
O  0.959  0.750  0.480

***

Record 3
# LiNbPO5
Theoretical XRD peak list, copper Kα. Input: a crystal structure in the Materials Project, relaxed with GGA-PBE.
Kinematic intensities with the Lorentz-polarization factor, no thermal factor.

The 6 most intense peaks (10° ≤ 2θ ≤ 90°), by angle:
(1 0 1), 2θ = 17.21°, I 77
(1 0 -1), 2θ = 17.98°, I 98
(0 0 2), 2θ = 21.74°, I 58
(1 2 1), 2θ = 26.31°, I 97
(1 2 -1), 2θ = 26.60°, I 90
(2 0 0), 2θ = 27.88°, I 100

Structural model:
Cell: 7.113 7.432 8.183 Å, 89.43 87.46 64.26°
Sites, in units of the cell vectors:
Li  0.203  0.327  0.425
Li  0.282  0.809  0.076
Li  0.718  0.191  0.924
Li  0.797  0.673  0.575
Nb  0.254  0.514  0.766
Nb  0.256  0.010  0.737
Nb  0.744  0.990  0.263
Nb  0.746  0.486  0.234
P  0.237  0.739  0.409
P  0.269  0.246  0.093
P  0.731  0.754  0.907
P  0.763  0.261  0.591
O  0.069  0.406  0.178
O  0.075  0.870  0.284
O  0.145  0.622  0.521
O  0.226  0.091  0.995
O  0.234  0.762  0.842
O  0.260  0.253  0.667
O  0.305  0.869  0.515
O  0.376  0.343  0.975
O  0.413  0.144  0.237
O  0.425  0.594  0.303
O  0.575  0.406  0.697
O  0.587  0.856  0.763
O  0.624  0.657  0.025
O  0.695  0.131  0.485
O  0.740  0.747  0.333
O  0.766  0.238  0.158
O  0.774  0.909  0.005
O  0.855  0.378  0.479
O  0.925  0.130  0.716
O  0.931  0.594  0.822

***

Record 4
# LiNbP2O7
Theoretical XRD peak list, copper Kα. Input: a crystal structure in the Materials Project, relaxed with GGA-PBE.
Kinematic intensities with the Lorentz-polarization factor, no thermal factor.

The 6 most intense peaks (10° ≤ 2θ ≤ 90°), by angle:
(0 1 1), 2θ = 16.57°, I 100
(1 1 0), 2θ = 21.39°, I 27
(1 1 -1), 2θ = 21.74°, I 24
(1 0 1), 2θ = 26.20°, I 21
(1 2 -1), 2θ = 28.13°, I 61
(1 1 -2), 2θ = 28.96°, I 30

Structural model:
Cell: 4.986 8.710 7.153 Å, 90.00 108.59 90.00°
Sites, in units of the cell vectors:
Li  0.194  0.000  0.176
Li  0.806  0.500  0.824
Nb  0.208  0.355  0.223
Nb  0.792  0.855  0.777
P  0.218  0.067  0.583
P  0.400  0.675  0.030
P  0.600  0.175  0.970
P  0.782  0.567  0.417
O  0.038  0.532  0.351
O  0.142  0.150  0.386
O  0.209  0.818  0.999
O  0.231  0.525  0.001
O  0.394  0.923  0.579
O  0.398  0.176  0.094
O  0.410  0.190  0.741
O  0.590  0.690  0.259
O  0.602  0.676  0.906
O  0.606  0.423  0.421
O  0.769  0.025  0.999
O  0.791  0.318  0.001
O  0.858  0.650  0.614
O  0.962  0.032  0.649